This entry pairs a crystal structure of SrPrScO4 with its computed PXRD pattern. Radiation: Cu Kα. Structure: a DFT-relaxed cell (PBE, the Materials Project).
Lines closer than 0.1° are merged.

Structure:
a = 5.717 Å, b = 12.453 Å, c = 5.888 Å
α = 90.00°, β = 90.00°, γ = 90.00°
Space group Cmc2_1 (No. 36)
One atom of each set of equivalent atoms:
Sr 0.000 0.104 0.000 [4 per cell]
Pr 0.000 0.391 0.970 [4 per cell]
Sc 0.000 0.246 0.482 [4 per cell]
O 0.000 0.083 0.423 [4 per cell]
O 0.000 0.430 0.575 [4 per cell]
O 0.245 0.272 0.228 [8 per cell]

Peak list (8 most intense, 10° ≤ 2θ ≤ 80°, most intense first)
| Position (°2θ) | Rel. int. | hkl |
| --- | --- | --- |
| 30.6 | 100 | 1 3 1 |
| 44.2 | 38 | 2 0 2 |
| 31.3 | 37 | 2 0 0 |
| 30.4 | 34 | 0 0 2 |
| 22.8 | 29 | 1 1 1 |
| 54.1 | 23 | 1 3 3 |
| 55.3 | 19 | 3 3 1 |
| 43.0 | 16 | 2 4 0 |